This entry pairs a crystal structure of PmNd4Ho6 with its calculated X-ray powder pattern. Radiation: Cu Ka. Structure: a PBE-relaxed structure.
Peak positions follow from Bragg's law for the DFT cell and can differ from measured ones.

Main lines, sorted by position (15° ≤ 2θ ≤ 90°):
d [Å]  I_rel
3.884  25
3.357  31
3.335  67
2.799  100
2.747  68
2.711  30
2.540  27
2.298  27
1.960  31
1.678  39

Crystal structure
```
data_PmNd4Ho6
_symmetry_space_group_name_H-M 'P 1'
_symmetry_Int_Tables_number 1
_cell_length_a 8.514
_cell_length_b 8.514
_cell_length_c 8.514
_cell_angle_alpha 125.71
_cell_angle_beta 125.71
_cell_angle_gamma 80.37
loop_
_symmetry_equiv_pos_as_xyz
'x,y,z'
loop_
_atom_site_label
_atom_site_fract_x
_atom_site_fract_y
_atom_site_fract_z
_atom_site_occupancy
Pm1 0.000 0.000 0.000 1
Nd1 0.250 0.250 0.652 1
Nd2 0.401 0.750 0.000 1
Nd3 0.599 0.599 0.348 1
Nd4 0.750 0.401 0.000 1
Ho1 0.000 0.500 0.500 1
Ho2 0.065 0.566 0.000 1
Ho3 0.434 0.434 0.499 1
Ho4 0.500 0.000 0.500 1
Ho5 0.566 0.065 0.000 1
Ho6 0.935 0.935 0.501 1
```